(1)
Pu2Mg5Zn12: theoretical powder XRD pattern (CuKα), based on a cell relaxed with GGA-PBE.

Cell lengths 7.071, 7.071, 7.071 Å; angles 82.00, 82.00, 82.00 degrees
Fractional coordinates of all 19 atoms:
Pu 0.158 0.158 0.158
Pu 0.842 0.842 0.842
Mg 0.000 0.500 0.500
Mg 0.399 0.399 0.399
Mg 0.500 0.000 0.500
Mg 0.500 0.500 0.000
Mg 0.601 0.601 0.601
Zn 0.140 0.140 0.664
Zn 0.140 0.664 0.140
Zn 0.203 0.500 0.797
Zn 0.203 0.797 0.500
Zn 0.336 0.860 0.860
Zn 0.500 0.203 0.797
Zn 0.500 0.797 0.203
Zn 0.664 0.140 0.140
Zn 0.797 0.203 0.500
Zn 0.797 0.500 0.203
Zn 0.860 0.336 0.860
Zn 0.860 0.860 0.336

Peak list (10 most intense, 2θ from 10° to 80°, in order of rising 2θ)
12.7°, I = 30
19.2°, I = 16
27.3°, I = 31
33.5°, I = 29
34.2°, I = 30
38.9°, I = 100
39.0°, I = 19
39.5°, I = 14
52.3°, I = 13
63.4°, I = 13

(2)
Ac5Ga: theoretical powder XRD pattern (CuKα), based on a cell relaxed with GGA-PBE.

Cell lengths 9.605, 9.605, 6.674 Å; angles 99.23, 99.23, 24.02 degrees
Fractional coordinates of all 6 atoms:
Ac 0.000 0.000 0.000
Ac 0.253 0.253 0.611
Ac 0.351 0.351 0.163
Ac 0.540 0.540 0.531
Ac 0.675 0.675 0.081
Ga 0.895 0.895 0.560

Peak list (10 most intense, 2θ from 10° to 80°, in order of rising 2θ)
25.3°, I = 28
26.6°, I = 42
27.1°, I = 50
27.2°, I = 22
28.8°, I = 100
29.9°, I = 44
31.0°, I = 67
36.5°, I = 25
45.4°, I = 22
53.6°, I = 34

(3)
Ac2SmGe3Rh4: theoretical powder XRD pattern (CuKα), based on a cell relaxed with GGA-PBE.

Cell lengths 4.312, 4.312, 11.371 Å; angles 90.00, 90.00, 90.00 degrees
Fractional coordinates of all 10 atoms:
Ac 0.000 0.500 0.233
Ac 0.500 0.000 0.767
Sm 0.000 0.000 0.500
Ge 0.000 0.500 0.884
Ge 0.500 0.000 0.116
Ge 0.500 0.500 0.500
Rh 0.000 0.000 0.000
Rh 0.000 0.500 0.661
Rh 0.500 0.000 0.339
Rh 0.500 0.500 0.000

Peak list (10 most intense, 2θ from 10° to 80°, in order of rising 2θ)
29.3°, I = 10
31.4°, I = 53
33.3°, I = 100
37.9°, I = 12
41.9°, I = 46
45.1°, I = 21
53.3°, I = 29
60.8°, I = 15
63.2°, I = 16
71.1°, I = 22